1.
Diffraction record for GaN3F6. The powder diffractogram is theoretical, not measured: it uses a DFT-relaxed cell (PBE, the Materials Project) and Cu Ka.

Principal peaks in the range 10 to 90 degrees two-theta, low angle first:
d (Å)  2θ/deg  I/Imax
4.426  20.06  54
3.833  23.20  100
2.711  33.05  45
2.312  38.96  39
1.917  47.43  68
1.759  51.99  20
1.714  53.45  38
1.565  59.03  15
1.355  69.34  34
1.278  74.22  16

Cell and atoms:
Cell lengths 7.6667, 7.6667, 7.6667 Å; angles 90.00, 90.00, 90.00 degrees
Sites, in units of the cell vectors:
1 Ga 0.0000 0.0000 0.0000
2 Ga 0.0000 0.5000 0.5000
3 Ga 0.5000 0.0000 0.5000
4 Ga 0.5000 0.5000 0.0000
5 N 0.0000 0.0000 0.5000
6 N 0.0000 0.5000 0.0000
7 N 0.2470 0.7470 0.7530
8 N 0.2470 0.7530 0.2530
9 N 0.2530 0.2470 0.7530
10 N 0.2530 0.2530 0.2530
11 N 0.5000 0.0000 0.0000
12 N 0.5000 0.5000 0.5000
13 N 0.7470 0.7470 0.7470
14 N 0.7470 0.7530 0.2470
15 N 0.7530 0.2470 0.7470
16 N 0.7530 0.2530 0.2470
17 F 0.0022 0.0031 0.2557
18 F 0.0022 0.4969 0.7557
19 F 0.0031 0.2443 0.5022
20 F 0.0031 0.2557 0.0022
21 F 0.2443 0.5022 0.0031
22 F 0.2443 0.9978 0.5031
23 F 0.2557 0.0022 0.0031
24 F 0.2557 0.4978 0.5031
25 F 0.4969 0.7443 0.5022
26 F 0.4969 0.7557 0.0022
27 F 0.4978 0.5031 0.2557
28 F 0.4978 0.9969 0.7557
29 F 0.5022 0.0031 0.2443
30 F 0.5022 0.4969 0.7443
31 F 0.5031 0.2443 0.9978
32 F 0.5031 0.2557 0.4978
33 F 0.7443 0.5022 0.4969
34 F 0.7443 0.9978 0.9969
35 F 0.7557 0.0022 0.4969
36 F 0.7557 0.4978 0.9969
37 F 0.9969 0.7443 0.9978
38 F 0.9969 0.7557 0.4978
39 F 0.9978 0.5031 0.2443
40 F 0.9978 0.9969 0.7443

=====

2.
Diffraction record for GaN2OF5. The powder diffractogram is theoretical, not measured: it uses a DFT-relaxed cell (PBE, the Materials Project) and Cu Ka.

Principal peaks in the range 10 to 90 degrees two-theta, low angle first:
d (Å)  2θ/deg  I/Imax
6.268  14.13  100
4.704  18.87  53
4.604  19.28  22
3.573  24.92  52
3.393  26.27  34
3.134  28.48  13
2.752  32.54  14
2.685  33.37  20
2.221  40.62  13
1.997  45.42  22

Cell and atoms:
Cell lengths 9.4073, 8.4051, 6.7854 Å; angles 90.00, 90.00, 90.00 degrees
Sites, in units of the cell vectors:
1 Ga 0.0000 0.0943 0.2500
2 Ga 0.0000 0.9057 0.7500
3 Ga 0.5000 0.4057 0.7500
4 Ga 0.5000 0.5943 0.2500
5 N 0.1566 0.4038 0.7350
6 N 0.1566 0.5962 0.2350
7 N 0.3434 0.0962 0.2350
8 N 0.3434 0.9038 0.7350
9 N 0.6566 0.0962 0.2650
10 N 0.6566 0.9038 0.7650
11 N 0.8434 0.4038 0.7650
12 N 0.8434 0.5962 0.2650
13 O 0.0000 0.1293 0.7500
14 O 0.0000 0.8707 0.2500
15 O 0.5000 0.3707 0.2500
16 O 0.5000 0.6293 0.7500
17 F 0.0000 0.4991 0.2500
18 F 0.0000 0.5009 0.7500
19 F 0.0856 0.1305 0.5118
20 F 0.0856 0.8695 0.0118
21 F 0.1658 0.1938 0.1643
22 F 0.1658 0.8062 0.6643
23 F 0.3342 0.3062 0.6643
24 F 0.3342 0.6938 0.1643
25 F 0.4144 0.3695 0.0118
26 F 0.4144 0.6305 0.5118
27 F 0.5000 0.0009 0.7500
28 F 0.5000 0.9991 0.2500
29 F 0.5856 0.3695 0.4882
30 F 0.5856 0.6305 0.9882
31 F 0.6658 0.3062 0.8357
32 F 0.6658 0.6938 0.3357
33 F 0.8342 0.1938 0.3357
34 F 0.8342 0.8062 0.8357
35 F 0.9144 0.1305 0.9882
36 F 0.9144 0.8695 0.4882

=====

3.
Diffraction record for Na5Ga3F14. The powder diffractogram is theoretical, not measured: it uses a DFT-relaxed cell (PBE, the Materials Project) and Cu Ka.

Principal peaks in the range 10 to 90 degrees two-theta, low angle first:
d (Å)  2θ/deg  I/Imax
6.026  14.70  31
5.275  16.81  63
3.698  24.07  31
3.674  24.23  24
3.049  29.30  40
3.013  29.65  100
2.607  34.40  26
1.863  48.89  23
1.845  49.39  27
1.572  58.73  21

Cell and atoms:
Cell lengths 7.3994, 7.3474, 12.8039 Å; angles 90.00, 124.51, 90.00 degrees
Sites, in units of the cell vectors:
1 Na 0.0000 0.0000 0.0000
2 Na 0.0000 0.5000 0.5000
3 Na 0.0179 0.2351 0.7414
4 Na 0.0179 0.2649 0.2414
5 Na 0.4888 0.7010 0.2513
6 Na 0.4888 0.7990 0.7513
7 Na 0.5112 0.2010 0.2487
8 Na 0.5112 0.2990 0.7487
9 Na 0.9821 0.7351 0.7586
10 Na 0.9821 0.7649 0.2586
11 Ga 0.0000 0.0000 0.5000
12 Ga 0.0000 0.5000 0.0000
13 Ga 0.5000 0.0000 0.0000
14 Ga 0.5000 0.0000 0.5000
15 Ga 0.5000 0.5000 0.0000
16 Ga 0.5000 0.5000 0.5000
17 F 0.1044 0.6635 0.1383
18 F 0.1044 0.8365 0.6383
19 F 0.1480 0.2023 0.6108
20 F 0.1480 0.2977 0.1108
21 F 0.1875 0.5091 0.3827
22 F 0.1875 0.9909 0.8827
23 F 0.2520 0.5778 0.9992
24 F 0.2520 0.9222 0.4992
25 F 0.3139 0.0437 0.3243
26 F 0.3139 0.4563 0.8243
27 F 0.4560 0.5601 0.6287
28 F 0.4560 0.9399 0.1287
29 F 0.4700 0.2469 0.5400
30 F 0.4700 0.2531 0.0400
31 F 0.5300 0.7469 0.9600
32 F 0.5300 0.7531 0.4600
33 F 0.5440 0.0601 0.8713
34 F 0.5440 0.4399 0.3713
35 F 0.6861 0.5437 0.1757
36 F 0.6861 0.9563 0.6757
37 F 0.7480 0.0778 0.5008
38 F 0.7480 0.4222 0.0008
39 F 0.8125 0.0091 0.1173
40 F 0.8125 0.4909 0.6173
41 F 0.8520 0.7023 0.8892
42 F 0.8520 0.7977 0.3892
43 F 0.8956 0.1635 0.3617
44 F 0.8956 0.3365 0.8617

=====

4.
Diffraction record for RbNa2GaF6. The powder diffractogram is theoretical, not measured: it uses a DFT-relaxed cell (PBE, the Materials Project) and Cu Ka.

Principal peaks in the range 10 to 90 degrees two-theta, low angle first:
d (Å)  2θ/deg  I/Imax
4.503  19.72  93
3.184  28.02  100
2.251  40.05  57
2.014  45.02  32
1.838  49.59  35
1.592  57.93  31
1.501  61.81  15
1.424  65.56  23
1.300  72.75  9
1.203  79.67  22

Cell and atoms:
Cell lengths 6.3680, 6.3680, 6.3680 Å; angles 60.00, 60.00, 60.00 degrees
Sites, in units of the cell vectors:
1 Rb 0.0000 0.0000 0.0000
2 Na 0.2500 0.2500 0.2500
3 Na 0.7500 0.7500 0.7500
4 Ga 0.5000 0.5000 0.5000
5 F 0.2871 0.2871 0.7129
6 F 0.2871 0.7129 0.2871
7 F 0.2871 0.7129 0.7129
8 F 0.7129 0.2871 0.2871
9 F 0.7129 0.2871 0.7129
10 F 0.7129 0.7129 0.2871

=====

5.
Diffraction record for Rb2NaGaF6. The powder diffractogram is theoretical, not measured: it uses a DFT-relaxed cell (PBE, the Materials Project) and Cu Ka.

Principal peaks in the range 10 to 90 degrees two-theta, low angle first:
d (Å)  2θ/deg  I/Imax
4.947  17.93  19
3.030  29.48  100
2.474  36.32  24
2.142  42.18  48
1.749  52.30  38
1.515  61.18  28
1.355  69.36  19
1.292  73.28  6
1.237  77.11  9
1.145  84.64  21

Cell and atoms:
Cell lengths 6.0592, 6.0592, 6.0592 Å; angles 60.00, 60.00, 60.00 degrees
Sites, in units of the cell vectors:
1 Rb 0.2500 0.2500 0.2500
2 Rb 0.7500 0.7500 0.7500
3 Na 0.0000 0.0000 0.0000
4 Ga 0.5000 0.5000 0.5000
5 F 0.2738 0.2738 0.7262
6 F 0.2738 0.7262 0.2738
7 F 0.2738 0.7262 0.7262
8 F 0.7262 0.2738 0.2738
9 F 0.7262 0.2738 0.7262
10 F 0.7262 0.7262 0.2738

=====

6.
Diffraction record for Na2TlGaF6. The powder diffractogram is theoretical, not measured: it uses a DFT-relaxed cell (PBE, the Materials Project) and Cu Ka.

Principal peaks in the range 10 to 90 degrees two-theta, low angle first:
d (Å)  2θ/deg  I/Imax
5.192  17.08  23
4.496  19.75  100
3.179  28.07  99
2.711  33.04  27
2.248  40.11  40
2.011  45.09  41
1.836  49.67  38
1.590  58.02  24
1.422  65.67  21
1.202  79.81  22

Cell and atoms:
Cell lengths 6.3586, 6.3586, 6.3586 Å; angles 60.00, 60.00, 60.00 degrees
Sites, in units of the cell vectors:
1 Na 0.2500 0.2500 0.2500
2 Na 0.7500 0.7500 0.7500
3 Tl 0.0000 0.0000 0.0000
4 Ga 0.5000 0.5000 0.5000
5 F 0.2865 0.2865 0.7135
6 F 0.2865 0.7135 0.2865
7 F 0.2865 0.7135 0.7135
8 F 0.7135 0.2865 0.2865
9 F 0.7135 0.2865 0.7135
10 F 0.7135 0.7135 0.2865

=====

7.
Diffraction record for Ga12OF36. The powder diffractogram is theoretical, not measured: it uses a DFT-relaxed cell (PBE, the Materials Project) and Cu Ka.

Principal peaks in the range 10 to 90 degrees two-theta, low angle first:
d (Å)  2θ/deg  I/Imax
6.329  13.99  100
3.747  23.75  60
3.649  24.39  19
3.224  27.66  19
3.169  28.16  59
3.155  28.28  27
2.420  37.15  17
1.824  49.99  16
1.640  56.07  17
1.612  57.13  27

Cell and atoms:
Cell lengths 10.4604, 10.4604, 10.4604 Å; angles 138.98, 88.48, 105.79 degrees
Sites, in units of the cell vectors:
1 Ga 0.1250 0.0000 0.1250
2 Ga 0.1251 0.0000 0.6251
3 Ga 0.1251 0.5000 0.1251
4 Ga 0.3749 0.0000 0.3749
5 Ga 0.3749 0.0000 0.8749
6 Ga 0.3749 0.5000 0.3749
7 Ga 0.6246 0.0003 0.1246
8 Ga 0.6251 0.0000 0.6251
9 Ga 0.6246 0.5000 0.6243
10 Ga 0.8750 0.0000 0.8750
11 Ga 0.8757 0.0003 0.3757
12 Ga 0.8757 0.5000 0.8754
13 O 0.5536 0.5536 0.0000
14 F 0.0005 0.0808 0.2905
15 F 0.0005 0.7100 0.9197
16 F 0.0297 0.0620 0.5329
17 F 0.0297 0.4968 0.9677
18 F 0.0350 0.0350 0.0000
19 F 0.0655 0.7115 0.3541
20 F 0.1846 0.2885 0.8960
21 F 0.2149 0.9650 0.2499
22 F 0.2209 0.5031 0.2822
23 F 0.2209 0.9387 0.7178
24 F 0.2495 0.2899 0.3301
25 F 0.2495 0.9194 0.9596
26 F 0.2904 0.0805 0.5800
27 F 0.2904 0.7103 0.2099
28 F 0.3574 0.7115 0.6459
29 F 0.3925 0.2885 0.1040
30 F 0.4599 0.2896 0.5396
31 F 0.4599 0.9202 0.1702
32 F 0.5004 0.0805 0.7901
33 F 0.5004 0.7103 0.4200
34 F 0.5290 0.0620 0.0323
35 F 0.5290 0.4968 0.4671
36 F 0.5350 0.0350 0.5000
37 F 0.5662 0.7133 0.8529
38 F 0.6844 0.2885 0.3959
39 F 0.7151 0.9650 0.7501
40 F 0.7217 0.5030 0.7813
41 F 0.7217 0.9403 0.2187
42 F 0.7500 0.2896 0.8298
43 F 0.7500 0.9202 0.4604
44 F 0.7903 0.0808 0.0803
45 F 0.7903 0.7100 0.7095
46 F 0.8604 0.7133 0.1471
47 F 0.8926 0.2885 0.6041
48 F 0.9598 0.2899 0.0404
49 F 0.9598 0.9194 0.6699

=====

8.
Diffraction record for Ga3Pb5F19. The powder diffractogram is theoretical, not measured: it uses a DFT-relaxed cell (PBE, the Materials Project) and Cu Ka.

Principal peaks in the range 10 to 90 degrees two-theta, low angle first:
d (Å)  2θ/deg  I/Imax
3.917  22.70  69
3.589  24.81  68
3.449  25.83  25
3.255  27.40  64
3.219  27.72  100
3.117  28.64  30
2.304  39.10  26
2.099  43.09  41
2.091  43.27  33
2.060  43.95  31

Cell and atoms:
Cell lengths 11.0126, 11.0126, 11.0126 Å; angles 97.27, 97.27, 138.33 degrees
Sites, in units of the cell vectors:
1 Ga 0.0000 0.0000 0.0000
2 Ga 0.0362 0.5362 0.1786
3 Ga 0.3577 0.8577 0.8214
4 Ga 0.5000 0.5000 0.0000
5 Ga 0.5362 0.3577 0.5000
6 Ga 0.8577 0.0362 0.5000
7 Pb 0.0384 0.5384 0.5000
8 Pb 0.0744 0.9189 0.7018
9 Pb 0.2171 0.3726 0.2982
10 Pb 0.3726 0.0744 0.1555
11 Pb 0.4189 0.5744 0.7018
12 Pb 0.5384 0.0384 0.5000
13 Pb 0.5744 0.8726 0.1555
14 Pb 0.7171 0.4189 0.8445
15 Pb 0.8726 0.7171 0.2982
16 Pb 0.9189 0.2171 0.8445
17 F 0.0367 0.7683 0.5000
18 F 0.0676 0.8932 0.9399
19 F 0.0970 0.7419 0.1417
20 F 0.0987 0.7263 0.7576
21 F 0.1002 0.2419 0.6450
22 F 0.1277 0.0676 0.1744
23 F 0.2124 0.7124 0.3532
24 F 0.2263 0.5987 0.7576
25 F 0.2419 0.5970 0.1417
26 F 0.2546 0.2546 0.0000
27 F 0.2683 0.5367 0.5000
28 F 0.3411 0.0987 0.3724
29 F 0.3592 0.8592 0.6468
30 F 0.3724 0.8724 0.9961
31 F 0.3763 0.3724 0.5000
32 F 0.3932 0.5676 0.9399
33 F 0.4533 0.3932 0.8256
34 F 0.4553 0.1002 0.8583
35 F 0.4687 0.2263 0.6276
36 F 0.5367 0.0367 0.2683
37 F 0.5676 0.6277 0.1744
38 F 0.5970 0.4553 0.3550
39 F 0.5987 0.8411 0.3724
40 F 0.6002 0.9553 0.8583
41 F 0.6277 0.4533 0.0601
42 F 0.7124 0.3592 0.5000
43 F 0.7263 0.9687 0.6276
44 F 0.7419 0.6002 0.6450
45 F 0.7546 0.7546 0.0000
46 F 0.7683 0.2683 0.7317
47 F 0.8411 0.4687 0.2424
48 F 0.8592 0.2124 0.5000
49 F 0.8724 0.8763 0.5000
50 F 0.8763 0.3763 0.0039
51 F 0.8932 0.9533 0.8256
52 F 0.9533 0.1277 0.0601
53 F 0.9553 0.0970 0.3550
54 F 0.9687 0.3411 0.2424